[1]
# TlHg2
Calculated powder XRD pattern, λ = 1.5418 Å (Cu Kα). Input: a DFT-relaxed cell (PBE, Alexandria).
No peak broadening, texture or thermal motion is included.

Most intense lines, 15 to 90 degrees two-theta, low angle first:
- 30.3°, 2.948 Å, I 40, hkl 1 3 0
- 31.9°, 2.806 Å, I 48, hkl 0 0 2
- 34.1°, 2.632 Å, I 72, hkl 0 6 1
- 34.4°, 2.610 Å, I 100, hkl 1 3 1
- 44.6°, 2.033 Å, I 28, hkl 1 3 2
- 58.4°, 1.580 Å, I 22, hkl 1 3 3
- 63.6°, 1.463 Å, I 22, hkl 1 9 2
- 65.5°, 1.426 Å, I 22, hkl 2 6 1

Lattice parameters (Å, degrees): 3.392 17.884 5.613 90.00 90.00 90.00
Space group Cmcm (No. 63)
Inequivalent atoms, fractional coordinates:
Tl1 0.000 0.210 0.250 x4
Hg1 0.000 0.110 0.750 x4
Hg2 0.000 0.453 0.750 x4

[2]
# Tl4Hg
Calculated powder XRD pattern, λ = 1.5418 Å (Cu Kα). Input: a DFT-relaxed cell (PBE, Alexandria).
No peak broadening, texture or thermal motion is included.

Most intense lines, 15 to 90 degrees two-theta, low angle first:
- 32.0°, 2.798 Å, I 52, hkl 1 3 0
- 32.5°, 2.753 Å, I 100, hkl 2 1 1
- 45.9°, 1.979 Å, I 19, hkl 4 2 0
- 47.5°, 1.916 Å, I 9, hkl 0 0 2
- 57.4°, 1.607 Å, I 38, hkl 5 0 1
- 58.4°, 1.581 Å, I 19, hkl 1 3 2
- 68.1°, 1.376 Å, I 12, hkl 4 2 2
- 78.7°, 1.216 Å, I 8, hkl 2 1 3

Lattice parameters (Å, degrees): 8.848 8.848 3.832 90.00 90.00 90.00
Space group I4/m (No. 87)
Inequivalent atoms, fractional coordinates:
Tl1 0.091 0.289 0.000 x8
Hg1 0.000 0.000 0.500 x2

[3]
# Tl7Hg5
Calculated powder XRD pattern, λ = 1.5418 Å (Cu Kα). Input: a DFT-relaxed cell (PBE, Alexandria).
No peak broadening, texture or thermal motion is included.

Most intense lines, 15 to 90 degrees two-theta, low angle first:
- 31.3°, 2.857 Å, I 56, hkl 0 2 0
- 31.7°, 2.822 Å, I 41, hkl 0 0 4
- 32.6°, 2.748 Å, I 100, hkl 3 1 -2
- 33.6°, 2.667 Å, I 72, hkl 3 1 2
- 45.2°, 2.008 Å, I 36, hkl 0 2 4
- 56.4°, 1.632 Å, I 16, hkl 3 1 -6
- 56.5°, 1.628 Å, I 22, hkl 3 3 -2
- 57.2°, 1.611 Å, I 16, hkl 3 3 2

Lattice parameters (Å, degrees): 11.003 5.715 11.299 90.00 92.43 90.00
Space group C2/m (No. 12)
Inequivalent atoms, fractional coordinates:
Tl1 0.000 0.000 0.000 x2
Tl2 0.017 0.500 0.783 x4
Tl3 0.156 0.500 0.479 x4
Tl4 0.171 0.000 0.264 x4
Hg1 0.000 0.000 0.500 x2
Hg2 0.158 0.000 0.737 x4
Hg3 0.189 0.500 0.023 x4

[4]
# Tl11Hg4
Calculated powder XRD pattern, λ = 1.5418 Å (Cu Kα). Input: a DFT-relaxed cell (PBE, Alexandria).
No peak broadening, texture or thermal motion is included.

Most intense lines, 15 to 90 degrees two-theta, low angle first:
- 31.0°, 2.888 Å, I 100, hkl 4 1 0
- 31.7°, 2.824 Å, I 37, hkl 2 0 2
- 31.9°, 2.807 Å, I 45, hkl 3 3 0
- 32.6°, 2.748 Å, I 77, hkl 2 1 2
- 34.0°, 2.633 Å, I 98, hkl 4 1 1
- 34.9°, 2.571 Å, I 49, hkl 3 3 1
- 53.3°, 1.719 Å, I 28, hkl 4 1 3
- 66.7°, 1.403 Å, I 27, hkl 4 1 4

Lattice parameters (Å, degrees): 11.907 11.907 6.417 90.00 90.00 90.00
Space group P4_2/mnm (No. 136)
Inequivalent atoms, fractional coordinates:
Tl1 0.000 0.000 0.000 x2
Tl2 0.067 0.278 0.000 x8
Tl3 0.104 0.104 0.500 x4
Tl4 0.181 0.819 0.252 x8
Hg1 0.041 0.366 0.500 x8

[5]
# TlHg
Calculated powder XRD pattern, λ = 1.5418 Å (Cu Kα). Input: a DFT-relaxed cell (PBE, Alexandria).
No peak broadening, texture or thermal motion is included.

Most intense lines, 15 to 90 degrees two-theta, low angle first:
- 28.6°, 3.120 Å, I 25, hkl 1 0 0
- 33.5°, 2.674 Å, I 100, hkl 0 1 2
- 34.6°, 2.595 Å, I 20, hkl 0 0 4
- 50.7°, 1.801 Å, I 22, hkl 1 1 0
- 61.3°, 1.513 Å, I 16, hkl 0 1 6
- 62.1°, 1.494 Å, I 17, hkl 2 0 2
- 62.8°, 1.480 Å, I 22, hkl 1 1 4
- 84.2°, 1.150 Å, I 15, hkl 1 2 2

Lattice parameters (Å, degrees): 3.6022 3.6022 10.3814 90.00 90.00 120.00
Space group P-3m1 (No. 164)
Inequivalent atoms, fractional coordinates:
Tl1 0.3333 0.6667 0.1358 x2
Hg1 0.3333 0.6667 0.6169 x2

[6]
# Tl3Hg8
Calculated powder XRD pattern, λ = 1.5418 Å (Cu Kα). Input: a DFT-relaxed cell (PBE, Alexandria).
No peak broadening, texture or thermal motion is included.

Most intense lines, 15 to 90 degrees two-theta, low angle first:
- 30.6°, 2.926 Å, I 100, hkl 3 1 -2
- 33.4°, 2.682 Å, I 40, hkl 2 0 -5
- 34.7°, 2.586 Å, I 72, hkl 1 1 3
- 35.0°, 2.567 Å, I 35, hkl 4 0 1
- 42.9°, 2.107 Å, I 20, hkl 6 0 -4
- 44.6°, 2.033 Å, I 18, hkl 0 2 0
- 55.3°, 1.662 Å, I 19, hkl 5 1 -7
- 56.8°, 1.620 Å, I 18, hkl 2 2 -5

Lattice parameters (Å, degrees): 12.944 4.066 13.420 90.00 116.49 90.00
Space group C2/m (No. 12)
Inequivalent atoms, fractional coordinates:
Tl1 0.000 0.000 0.000 x2
Tl2 0.098 0.000 0.641 x4
Hg1 0.047 0.500 0.819 x4
Hg2 0.139 0.500 0.452 x4
Hg3 0.175 0.000 0.274 x4
Hg4 0.230 0.500 0.088 x4

[7]
# Tl8Hg3
Calculated powder XRD pattern, λ = 1.5418 Å (Cu Kα). Input: a DFT-relaxed cell (PBE, Alexandria).
No peak broadening, texture or thermal motion is included.

Most intense lines, 15 to 90 degrees two-theta, low angle first:
- 31.6°, 2.835 Å, I 100, hkl 3 1 -2
- 31.8°, 2.816 Å, I 98, hkl 1 1 3
- 35.5°, 2.530 Å, I 37, hkl 4 0 1
- 36.3°, 2.473 Å, I 34, hkl 2 0 -5
- 38.3°, 2.348 Å, I 30, hkl 0 2 0
- 53.2°, 1.721 Å, I 24, hkl 4 2 1
- 53.8°, 1.703 Å, I 23, hkl 2 2 -5
- 61.1°, 1.516 Å, I 15, hkl 7 1 -1

Lattice parameters (Å, degrees): 11.312 4.696 12.597 90.00 104.97 90.00
Space group C2/m (No. 12)
Inequivalent atoms, fractional coordinates:
Tl1 0.046 0.000 0.317 x4
Tl2 0.131 0.000 0.957 x4
Tl3 0.183 0.500 0.776 x4
Tl4 0.223 0.000 0.589 x4
Hg1 0.000 0.500 0.500 x2
Hg2 0.094 0.500 0.138 x4

[8]
# Tl3Hg5
Calculated powder XRD pattern, λ = 1.5418 Å (Cu Kα). Input: a DFT-relaxed cell (PBE, Alexandria).
No peak broadening, texture or thermal motion is included.

Most intense lines, 15 to 90 degrees two-theta, low angle first:
- 30.2°, 2.956 Å, I 64, hkl 0 1 3
- 31.0°, 2.883 Å, I 100, hkl 2 0 0
- 31.3°, 2.860 Å, I 37, hkl 1 1 3
- 32.8°, 2.727 Å, I 85, hkl 1 3 1
- 34.1°, 2.628 Å, I 61, hkl 1 -2 2
- 35.0°, 2.563 Å, I 68, hkl -1 3 1
- 37.3°, 2.414 Å, I 47, hkl 1 2 -2
- 54.9°, 1.671 Å, I 36, hkl 3 3 1

Lattice parameters (Å, degrees): 5.873 8.989 9.088 76.89 79.09 86.80
Space group P-1 (No. 2)
Inequivalent atoms, fractional coordinates:
Tl1 0.231 0.277 0.461 x2
Tl2 0.243 0.405 0.066 x2
Tl3 0.256 0.013 0.199 x2
Hg1 0.232 0.165 0.828 x2
Hg2 0.248 0.787 0.930 x2
Hg3 0.249 0.538 0.683 x2
Hg4 0.256 0.902 0.571 x2
Hg5 0.267 0.646 0.303 x2